Diffraction record for Na3TlAu. The powder diffractogram is computed, not measured: it uses a cell relaxed with PBE and copper Kα.
No peak broadening, texture or thermal motion is included.

Structural model:
a b c (Å): 9.216 12.033 5.313
angles (deg): 90.00 90.00 90.00
Space group Cmc2_1 (No. 36)
Asymmetric unit:
Na: 0.000 0.071 0.000 x4
Na: 0.186 0.334 0.006 x8
Tl: 0.000 0.429 0.506 x4
Au: 0.000 0.193 0.500 x4

The 8 most intense peaks (10° ≤ 2θ ≤ 80°), in order of falling intensity:
2θ/deg  I_rel
20.7  100
19.3  75
34.3  51
39.6  49
34.5  43
39.1  41
33.7  28
12.1  27